# 1
Structure and computed X-ray diffraction stick pattern of FeAg2Se (a PBE-relaxed structure; Cu Kα (weighted mean of Kα1 and Kα2)).
Intensities are scaled so that the largest is 100.

Structure:
```
data_FeAg2Se
_cell_length_a 3.9368
_cell_length_b 3.9368
_cell_length_c 4.4965
_cell_angle_alpha 90.00
_cell_angle_beta 90.00
_cell_angle_gamma 90.00
_space_group_name_H-M_alt 'P 4/m m m'
_space_group_IT_number 123
_space_group_name_Hall '-P 4 2'
loop_
_atom_site_label
_atom_site_fract_x
_atom_site_fract_y
_atom_site_fract_z
Fe1 0.0000 0.0000 0.0000
Ag1 0.0000 0.5000 0.5000
Se1 0.5000 0.5000 0.0000
```

Peak list (10 most intense, 15° ≤ 2θ ≤ 90°, in order of falling intensity)
(hkl)	2θ/deg	d (Å)	I (rel.)
1 1 1	38.02	2.367	100
2 0 0	46.11	1.968	28
2 0 2	62.74	1.481	21
0 0 2	40.11	2.248	21
3 1 1	79.96	1.200	21
1 1 3	71.49	1.320	14
2 2 2	81.30	1.183	10
2 2 0	67.27	1.392	9
0 0 1	19.74	4.497	7
1 1 0	32.16	2.784	4

***

# 2
Structure and computed X-ray diffraction stick pattern of PaSnTe2 (a PBE-relaxed structure; Cu Kα (weighted mean of Kα1 and Kα2)).
Intensities are scaled so that the largest is 100.

Structure:
```
data_PaSnTe2
_cell_length_a 3.8810
_cell_length_b 28.8707
_cell_length_c 4.7668
_cell_angle_alpha 90.00
_cell_angle_beta 90.00
_cell_angle_gamma 90.00
_space_group_name_H-M_alt 'C m c m'
_space_group_IT_number 63
_space_group_name_Hall '-C 2c 2'
loop_
_atom_site_label
_atom_site_fract_x
_atom_site_fract_y
_atom_site_fract_z
Pa1 0.0000 0.1865 0.2500
Sn1 0.0000 0.4657 0.2500
Te1 0.0000 0.2966 0.2500
Te2 0.0000 0.3975 0.7500
```

Peak list (10 most intense, 15° ≤ 2θ ≤ 90°, in order of falling intensity)
(hkl)	2θ/deg	d (Å)	I (rel.)
1 7 1	36.98	2.431	100
1 1 1	29.85	2.993	52
0 8 0	24.70	3.605	35
0 0 2	37.74	2.383	32
1 3 1	31.13	2.873	31
0 10 1	36.36	2.471	25
0 2 1	19.61	4.526	24
1 1 0	23.12	3.846	18
1 7 3	67.64	1.385	17
2 0 0	46.82	1.941	17

***

# 3
Structure and computed X-ray diffraction stick pattern of NaGa12Rh4 (a PBE-relaxed structure; Cu Kα (weighted mean of Kα1 and Kα2)).
Intensities are scaled so that the largest is 100.

Structure:
```
data_NaGa12Rh4
_cell_length_a 9.5903
_cell_length_b 9.5903
_cell_length_c 9.5903
_cell_angle_alpha 90.00
_cell_angle_beta 90.00
_cell_angle_gamma 90.00
_space_group_name_H-M_alt 'I m -3 m'
_space_group_IT_number 229
_space_group_name_Hall '-I 4 2 3'
loop_
_atom_site_label
_atom_site_fract_x
_atom_site_fract_y
_atom_site_fract_z
Na1 0.0000 0.0000 0.0000
Ga1 0.0000 0.2540 0.2540
Rh1 0.2500 0.2500 0.2500
```

Peak list (10 most intense, 15° ≤ 2θ ≤ 90°, in order of falling intensity)
(hkl)	2θ/deg	d (Å)	I (rel.)
2 0 0	18.50	4.795	100
4 0 0	37.51	2.398	61
4 2 0	42.14	2.144	47
4 4 0	54.09	1.695	41
4 4 2	57.67	1.598	23
2 2 2	32.34	2.768	16
4 4 4	67.69	1.384	13
8 2 0	83.04	1.163	13
6 4 0	70.85	1.330	10
8 0 0	80.04	1.199	6

***

# 4
Structure and computed X-ray diffraction stick pattern of HoPa2Ni9 (a PBE-relaxed structure; Cu Kα (weighted mean of Kα1 and Kα2)).
Intensities are scaled so that the largest is 100.

Structure:
```
data_HoPa2Ni9
_cell_length_a 4.9078
_cell_length_b 4.9078
_cell_length_c 24.6120
_cell_angle_alpha 90.00
_cell_angle_beta 90.00
_cell_angle_gamma 120.00
_space_group_name_H-M_alt 'R -3 m'
_space_group_IT_number 166
_space_group_name_Hall '-R 3 2"'
loop_
_atom_site_label
_atom_site_fract_x
_atom_site_fract_y
_atom_site_fract_z
Ho1 0.0000 0.0000 0.0000
Pa1 0.0000 0.0000 0.1391
Ni1 0.0000 0.0000 0.3330
Ni2 0.0000 0.0000 0.5000
Ni3 0.0010 0.5005 0.9171
```

Peak list (10 most intense, 15° ≤ 2θ ≤ 90°, in order of falling intensity)
(hkl)	2θ/deg	d (Å)	I (rel.)
1 1 6	42.95	2.106	100
1 1 0	36.62	2.454	70
1 0 7	33.06	2.709	70
0 1 8	36.04	2.492	52
0 2 1	42.71	2.117	43
1 0 1	21.21	4.188	25
2 2 0	77.85	1.227	23
3 0 6	70.29	1.339	22
2 1 7	63.69	1.461	22
0 1 11	45.83	1.980	22

***

# 5
Structure and computed X-ray diffraction stick pattern of Sm2TlCu3 (a PBE-relaxed structure; Cu Kα (weighted mean of Kα1 and Kα2)).
Intensities are scaled so that the largest is 100.

Structure:
```
data_Sm2TlCu3
_cell_length_a 7.2653
_cell_length_b 9.0109
_cell_length_c 15.7848
_cell_angle_alpha 90.00
_cell_angle_beta 90.00
_cell_angle_gamma 90.00
_space_group_name_H-M_alt 'F m m m'
_space_group_IT_number 69
_space_group_name_Hall '-F 2 2'
loop_
_atom_site_label
_atom_site_fract_x
_atom_site_fract_y
_atom_site_fract_z
Sm1 0.2375 0.0000 0.0000
Sm2 0.2500 0.2500 0.2500
Tl1 0.0000 0.0000 0.3353
Cu1 0.0000 0.0000 0.1615
Cu2 0.0000 0.2403 0.0792
```

Peak list (10 most intense, 15° ≤ 2θ ≤ 90°, in order of falling intensity)
(hkl)	2θ/deg	d (Å)	I (rel.)
2 2 2	33.67	2.662	100
0 2 6	39.67	2.272	63
2 0 4	33.53	2.673	52
0 4 0	40.02	2.253	31
2 4 4	53.17	1.722	28
4 2 6	65.83	1.419	27
1 1 3	23.09	3.852	21
4 0 0	50.23	1.816	16
4 4 0	66.08	1.414	13
2 0 8	52.80	1.734	13

***

# 6
Structure and computed X-ray diffraction stick pattern of Cs6K2Se (a PBE-relaxed structure; Cu Kα (weighted mean of Kα1 and Kα2)).
Intensities are scaled so that the largest is 100.

Structure:
```
data_Cs6K2Se
_cell_length_a 10.1954
_cell_length_b 10.1954
_cell_length_c 26.8405
_cell_angle_alpha 90.00
_cell_angle_beta 90.00
_cell_angle_gamma 120.00
_space_group_name_H-M_alt 'R 3 m'
_space_group_IT_number 160
_space_group_name_Hall 'R 3 -2"'
loop_
_atom_site_label
_atom_site_fract_x
_atom_site_fract_y
_atom_site_fract_z
Cs1 0.1766 0.3532 0.0000
Cs2 0.1803 0.3605 0.1644
K1 0.0000 0.0000 0.6711
K2 0.0000 0.0000 0.8442
Se1 0.0000 0.0000 0.4139
```

Peak list (10 most intense, 15° ≤ 2θ ≤ 90°, in order of falling intensity)
(hkl)	2θ/deg	d (Å)	I (rel.)
0 2 1	20.39	4.356	100
2 0 5	26.13	3.410	64
0 2 7	30.89	2.895	45
0 0 6	19.85	4.473	44
2 2 0	35.21	2.549	40
2 2 6	40.74	2.215	35
2 0 2	21.19	4.194	30
0 2 4	24.13	3.688	29
2 2 12	54.59	1.681	21
4 0 1	41.03	2.200	14

***

# 7
Structure and computed X-ray diffraction stick pattern of Nd9SmAl2 (a PBE-relaxed structure; Cu Kα (weighted mean of Kα1 and Kα2)).
Intensities are scaled so that the largest is 100.

Structure:
```
data_Nd9SmAl2
_cell_length_a 4.9583
_cell_length_b 4.9583
_cell_length_c 15.2547
_cell_angle_alpha 90.00
_cell_angle_beta 90.00
_cell_angle_gamma 90.00
_space_group_name_H-M_alt 'P 4/m m m'
_space_group_IT_number 123
_space_group_name_Hall '-P 4 2'
loop_
_atom_site_label
_atom_site_fract_x
_atom_site_fract_y
_atom_site_fract_z
Nd1 0.0000 0.0000 0.0000
Nd2 0.0000 0.0000 0.3413
Nd3 0.0000 0.5000 0.1790
Nd4 0.0000 0.5000 0.5000
Sm1 0.5000 0.5000 0.0000
Al1 0.5000 0.5000 0.3399
```

Peak list (10 most intense, 15° ≤ 2θ ≤ 90°, in order of falling intensity)
(hkl)	2θ/deg	d (Å)	I (rel.)
1 1 3	30.98	2.886	100
2 0 0	36.23	2.479	34
3 1 3	61.93	1.498	28
2 0 6	51.48	1.775	22
0 0 6	35.30	2.542	16
1 1 9	60.69	1.526	12
2 2 0	52.18	1.753	12
2 2 6	64.57	1.443	11
3 1 9	84.10	1.151	10
3 3 3	85.20	1.139	6

***

# 8
Structure and computed X-ray diffraction stick pattern of Y8Rh3Au2 (a PBE-relaxed structure; Cu Kα (weighted mean of Kα1 and Kα2)).
Intensities are scaled so that the largest is 100.

Structure:
```
data_Y8Rh3Au2
_cell_length_a 9.8797
_cell_length_b 13.8660
_cell_length_c 4.9136
_cell_angle_alpha 90.00
_cell_angle_beta 90.00
_cell_angle_gamma 90.00
_space_group_name_H-M_alt 'C m m m'
_space_group_IT_number 65
_space_group_name_Hall '-C 2 2'
loop_
_atom_site_label
_atom_site_fract_x
_atom_site_fract_y
_atom_site_fract_z
Y1 0.0000 0.1198 0.0000
Y2 0.0000 0.3787 0.0000
Y3 0.2481 0.3795 0.5000
Rh1 0.0000 0.5000 0.5000
Rh2 0.2501 0.0000 0.0000
Au1 0.0000 0.2471 0.5000
```

Peak list (10 most intense, 15° ≤ 2θ ≤ 90°, in order of falling intensity)
(hkl)	2θ/deg	d (Å)	I (rel.)
0 0 2	36.57	2.457	100
2 2 0	22.13	4.016	35
2 4 3	65.84	1.419	21
4 0 0	36.37	2.470	20
6 4 1	65.58	1.424	14
4 0 2	52.54	1.742	14
0 0 4	77.73	1.229	11
2 2 2	43.17	2.096	9
2 0 0	18.00	4.927	9
0 8 2	65.96	1.416	7